1.
Structure and simulated X-ray powder pattern of CaVF5 (DFT lattice parameters and positions (PBE+U); Cu Ka).
Lines closer than 0.1° are merged.

Largest 10 diffraction maxima, by angle, 2θ from 10° to 90°:
2theta	I_rel	(hkl)
19.08	45	1 1 0
24.30	100	1 2 0
25.92	78	0 1 2
30.03	31	0 2 2
39.14	12	1 2 -3
43.61	39	2 3 0
46.67	25	1 0 -4
49.86	22	1 4 2
50.02	20	2 4 -2
53.42	13	2 2 -4

Cell and atoms:
a = 5.557 Å, b = 10.289 Å, c = 7.785 Å
α = 90.00°, β = 110.17°, γ = 90.00°
Space group P2_1/c (No. 14)
Inequivalent atoms, fractional coordinates:
Ca 0.033 0.020 0.256 x4
V 0.391 0.247 0.599 x4
F 0.107 0.119 0.558 x4
F 0.139 0.112 0.001 x4
F 0.326 0.637 0.361 x4
F 0.352 0.195 0.339 x4
F 0.378 0.605 0.806 x4



2.
Structure and simulated X-ray powder pattern of Ca4VF10 (DFT lattice parameters and positions (PBE+U); Cu Ka).
Lines closer than 0.1° are merged.

Largest 10 diffraction maxima, by angle, 2θ from 10° to 90°:
2theta	I_rel	(hkl)
28.21	100	0 1 5
28.72	32	0 0 15
46.80	78	1 1 0
47.45	69	0 1 20
55.54	13	2 0 5
55.83	25	1 1 15
56.41	11	1 0 25
68.85	18	2 0 20
86.92	9	3 0 0
87.40	17	1 2 20

Cell and atoms:
a = 3.8825 Å, b = 3.8825 Å, c = 46.6316 Å
α = 90.00°, β = 90.00°, γ = 120.00°
Space group R-3m (No. 166, hexagonal axes)
Inequivalent atoms, fractional coordinates:
Ca 0.0000 0.0000 0.1029 x6
Ca 0.0000 0.0000 0.2991 x6
V 0.0000 0.0000 0.5000 x3
F 0.0000 0.0000 0.0514 x6
F 0.0000 0.0000 0.1530 x6
F 0.0000 0.0000 0.2477 x6
F 0.0000 0.0000 0.3504 x6
F 0.0000 0.0000 0.4535 x6



3.
Structure and simulated X-ray powder pattern of CaVF2 (DFT lattice parameters and positions (PBE+U); Cu Ka).
Lines closer than 0.1° are merged.

Largest 10 diffraction maxima, by angle, 2θ from 10° to 90°:
2theta	I_rel	(hkl)
28.26	17	1 0 1
29.16	27	0 0 6
29.51	100	0 1 2
34.10	21	1 0 4
48.77	40	0 1 8
49.23	40	1 1 0
57.84	15	1 0 10
58.24	20	1 1 6
58.44	12	2 0 2
71.81	10	2 0 8

Cell and atoms:
a = 3.7020 Å, b = 3.7020 Å, c = 18.3757 Å
α = 90.00°, β = 90.00°, γ = 120.00°
Space group R-3m (No. 166, hexagonal axes)
Inequivalent atoms, fractional coordinates:
Ca 0.0000 0.0000 0.0000 x3
V 0.0000 0.0000 0.5000 x3
F 0.0000 0.0000 0.3806 x6